(1)
Computed powder diffraction line list of NdFeGe2 for Cu Kα (weighted mean of Kα1 and Kα2), from DFT lattice parameters and positions (PBE).

Cell and atoms:
Cell lengths 8.444, 8.444, 4.357 Å; angles 90.00, 90.00, 150.19 degrees
Fractional coordinates of all 8 atoms:
Nd 0.105 0.895 0.750
Nd 0.895 0.105 0.250
Fe 0.311 0.689 0.750
Fe 0.689 0.311 0.250
Ge 0.251 0.749 0.250
Ge 0.453 0.547 0.750
Ge 0.547 0.453 0.250
Ge 0.749 0.251 0.750

Most intense lines, 10 to 90 degrees two-theta, in order of rising 2θ:
d 3.023, I 194; d 2.678, I 1000; d 2.609, I 345; d 2.307, I 279; d 2.178, I 297; d 2.172, I 294; d 1.673, I 274; d 1.581, I 168; d 1.538, I 193; d 1.336, I 206

(2)
Computed powder diffraction line list of LiNbS2 for Cu Kα (weighted mean of Kα1 and Kα2), from DFT lattice parameters and positions (PBE).

Cell and atoms:
Cell lengths 3.383, 3.383, 12.948 Å; angles 90.00, 90.00, 120.00 degrees
Fractional coordinates of all 8 atoms:
Li 0.000 0.000 0.000
Li 0.000 0.000 0.500
Nb 0.000 0.000 0.250
Nb 0.000 0.000 0.750
S 0.333 0.667 0.128
S 0.333 0.667 0.372
S 0.667 0.333 0.628
S 0.667 0.333 0.872

Most intense lines, 10 to 90 degrees two-theta, in order of rising 2θ:
d 6.474, I 1000; d 2.930, I 226; d 2.858, I 164; d 2.669, I 617; d 2.172, I 745; d 1.738, I 183; d 1.692, I 253; d 1.637, I 147; d 1.335, I 147; d 1.169, I 146

(3)
Computed powder diffraction line list of Mg6CrSn for Cu Kα (weighted mean of Kα1 and Kα2), from DFT lattice parameters and positions (PBE).

Cell and atoms:
Cell lengths 4.983, 6.296, 6.296 Å; angles 60.75, 90.00, 90.00 degrees
Fractional coordinates of all 8 atoms:
Mg 0.000 0.000 0.000
Mg 0.000 0.005 0.498
Mg 0.000 0.498 0.005
Mg 0.500 0.166 0.166
Mg 0.500 0.173 0.666
Mg 0.500 0.666 0.173
Cr 0.000 0.501 0.501
Sn 0.500 0.663 0.663

Most intense lines, 10 to 90 degrees two-theta, in order of rising 2θ:
d 5.493, I 610; d 3.691, I 266; d 3.672, I 232; d 2.747, I 290; d 2.661, I 251; d 2.492, I 372; d 2.405, I 1000; d 2.385, I 516; d 1.421, I 183; d 1.331, I 193

(4)
Computed powder diffraction line list of KBa2Bi2O9 for Cu Kα (weighted mean of Kα1 and Kα2), from DFT lattice parameters and positions (PBE).

Cell and atoms:
Cell lengths 5.991, 5.991, 7.936 Å; angles 90.00, 90.00, 120.00 degrees
Fractional coordinates of all 14 atoms:
K 0.000 0.000 0.000
Ba 0.333 0.667 0.643
Ba 0.667 0.333 0.357
Bi 0.333 0.667 0.155
Bi 0.667 0.333 0.845
O 0.000 0.500 0.000
O 0.179 0.359 0.330
O 0.179 0.821 0.330
O 0.359 0.179 0.670
O 0.500 0.000 0.000
O 0.500 0.500 0.000
O 0.641 0.821 0.330
O 0.821 0.179 0.670
O 0.821 0.641 0.670

Most intense lines, 10 to 90 degrees two-theta, in order of rising 2θ:
d 5.188, I 530; d 4.343, I 165; d 3.152, I 1000; d 2.995, I 673; d 2.171, I 538; d 1.853, I 154; d 1.758, I 399; d 1.729, I 139; d 1.576, I 153; d 1.353, I 173

(5)
Computed powder diffraction line list of ThRu2 for Cu Kα (weighted mean of Kα1 and Kα2), from DFT lattice parameters and positions (PBE).

Cell and atoms:
Cell lengths 5.434, 5.434, 5.434 Å; angles 60.00, 60.00, 60.00 degrees
Fractional coordinates of all 6 atoms:
Th 0.125 0.125 0.125
Th 0.875 0.875 0.875
Ru 0.000 0.500 0.500
Ru 0.500 0.000 0.500
Ru 0.500 0.500 0.000
Ru 0.500 0.500 0.500

Most intense lines, 10 to 90 degrees two-theta, in order of rising 2θ:
d 4.437, I 68; d 2.717, I 568; d 2.317, I 1000; d 2.218, I 182; d 1.569, I 225; d 1.479, I 329; d 1.358, I 249; d 1.215, I 99; d 1.172, I 117; d 1.159, I 65

(6)
Computed powder diffraction line list of CeAl8Co2 for Cu Kα (weighted mean of Kα1 and Kα2), from DFT lattice parameters and positions (PBE).

Cell and atoms:
Cell lengths 12.487, 14.293, 4.007 Å; angles 90.00, 90.00, 90.00 degrees
Fractional coordinates of all 44 atoms:
Ce 0.159 0.181 0.000
Ce 0.341 0.681 0.000
Ce 0.659 0.319 0.000
Ce 0.841 0.819 0.000
Al 0.000 0.000 0.000
Al 0.000 0.500 0.500
Al 0.025 0.868 0.500
Al 0.047 0.321 0.500
Al 0.096 0.747 0.000
Al 0.160 0.455 0.000
Al 0.160 0.621 0.500
Al 0.168 0.009 0.500
Al 0.236 0.827 0.500
Al 0.264 0.327 0.500
Al 0.332 0.509 0.500
Al 0.340 0.121 0.500
Al 0.340 0.955 0.000
Al 0.404 0.247 0.000
Al 0.453 0.821 0.500
Al 0.475 0.368 0.500
Al 0.500 0.000 0.500
Al 0.500 0.500 0.000
Al 0.525 0.632 0.500
Al 0.547 0.179 0.500
Al 0.596 0.753 0.000
Al 0.660 0.045 0.000
Al 0.660 0.879 0.500
Al 0.668 0.491 0.500
Al 0.736 0.673 0.500
Al 0.764 0.173 0.500
Al 0.832 0.991 0.500
Al 0.840 0.379 0.500
Al 0.840 0.545 0.000
Al 0.904 0.253 0.000
Al 0.953 0.679 0.500
Al 0.975 0.132 0.500
Co 0.035 0.594 0.000
Co 0.152 0.904 0.000
Co 0.348 0.404 0.000
Co 0.465 0.094 0.000
Co 0.535 0.906 0.000
Co 0.652 0.596 0.000
Co 0.848 0.096 0.000
Co 0.965 0.406 0.000

Most intense lines, 10 to 90 degrees two-theta, in order of rising 2θ:
d 4.002, I 790; d 3.788, I 208; d 3.435, I 247; d 3.135, I 244; d 2.608, I 674; d 2.468, I 1000; d 2.427, I 327; d 2.047, I 349; d 2.003, I 426; d 1.941, I 285

(7)
Computed powder diffraction line list of U for Cu Kα (weighted mean of Kα1 and Kα2), from DFT lattice parameters and positions (PBE).

Cell and atoms:
Cell lengths 3.134, 3.134, 3.134 Å; angles 60.00, 60.00, 60.00 degrees
Fractional coordinates of all 1 atoms:
U 0.000 0.000 0.000

Most intense lines, 10 to 90 degrees two-theta, in order of rising 2θ:
d 2.559, I 1000; d 2.216, I 502; d 1.567, I 350; d 1.336, I 424; d 1.279, I 124; d 1.108, I 64

(8)
Computed powder diffraction line list of Ga3SiNi4 for Cu Kα (weighted mean of Kα1 and Kα2), from DFT lattice parameters and positions (PBE).

Cell and atoms:
Cell lengths 4.610, 4.610, 4.610 Å; angles 90.91, 90.91, 90.91 degrees
Fractional coordinates of all 8 atoms:
Ga 0.106 0.602 0.292
Ga 0.292 0.106 0.602
Ga 0.602 0.292 0.106
Si 0.790 0.790 0.790
Ni 0.083 0.083 0.083
Ni 0.309 0.603 0.806
Ni 0.603 0.806 0.309
Ni 0.806 0.309 0.603

Most intense lines, 10 to 90 degrees two-theta, in order of rising 2θ:
d 2.619, I 143; d 2.304, I 201; d 2.075, I 1000; d 2.048, I 760; d 1.897, I 161; d 1.887, I 575; d 1.857, I 201; d 1.242, I 144; d 1.239, I 149; d 1.230, I 145

(9)
Computed powder diffraction line list of Ho5Si4 for Cu Kα (weighted mean of Kα1 and Kα2), from DFT lattice parameters and positions (PBE).

Cell and atoms:
Cell lengths 7.386, 14.500, 7.667 Å; angles 90.00, 90.00, 90.00 degrees
Fractional coordinates of all 36 atoms:
Ho 0.026 0.098 0.182
Ho 0.026 0.402 0.182
Ho 0.151 0.750 0.512
Ho 0.181 0.123 0.680
Ho 0.181 0.377 0.680
Ho 0.319 0.623 0.180
Ho 0.319 0.877 0.180
Ho 0.349 0.250 0.012
Ho 0.474 0.598 0.682
Ho 0.474 0.902 0.682
Ho 0.526 0.098 0.318
Ho 0.526 0.402 0.318
Ho 0.651 0.750 0.988
Ho 0.681 0.123 0.820
Ho 0.681 0.377 0.820
Ho 0.819 0.623 0.320
Ho 0.819 0.877 0.320
Ho 0.849 0.250 0.488
Ho 0.974 0.598 0.818
Ho 0.974 0.902 0.818
Si 0.023 0.750 0.103
Si 0.148 0.540 0.471
Si 0.148 0.960 0.471
Si 0.231 0.250 0.372
Si 0.269 0.750 0.872
Si 0.352 0.040 0.971
Si 0.352 0.460 0.971
Si 0.477 0.250 0.603
Si 0.523 0.750 0.397
Si 0.648 0.540 0.029
Si 0.648 0.960 0.029
Si 0.731 0.250 0.128
Si 0.769 0.750 0.628
Si 0.852 0.040 0.529
Si 0.852 0.460 0.529
Si 0.977 0.250 0.897

Most intense lines, 10 to 90 degrees two-theta, in order of rising 2θ:
d 3.243, I 489; d 2.934, I 468; d 2.782, I 677; d 2.741, I 1000; d 2.634, I 708; d 2.616, I 433; d 2.416, I 389; d 2.382, I 365; d 2.344, I 377; d 1.593, I 484

(10)
Computed powder diffraction line list of LiAl4Zn2O8 for Cu Kα (weighted mean of Kα1 and Kα2), from DFT lattice parameters and positions (PBE).

Cell and atoms:
Cell lengths 5.790, 5.790, 6.113 Å; angles 119.47, 119.47, 59.83 degrees
Fractional coordinates of all 15 atoms:
Li 0.000 0.000 0.000
Al 0.000 0.500 0.000
Al 0.143 0.143 0.433
Al 0.500 0.000 0.000
Al 0.857 0.857 0.567
Zn 0.500 0.500 0.000
Zn 0.500 0.500 0.500
O 0.228 0.756 0.244
O 0.240 0.240 0.219
O 0.244 0.772 0.756
O 0.253 0.253 0.797
O 0.747 0.747 0.203
O 0.756 0.228 0.244
O 0.760 0.760 0.781
O 0.772 0.244 0.756

Most intense lines, 10 to 90 degrees two-theta, in order of rising 2θ:
d 4.734, I 1000; d 4.132, I 258; d 2.889, I 476; d 2.600, I 630; d 2.532, I 766; d 2.486, I 742; d 2.098, I 969; d 2.066, I 471; d 1.498, I 461; d 1.447, I 476